Computed X-ray powder pattern of CoF4 for a wavelength of 1.5418 Å, from a PBE+U-relaxed structure.
Neutral-atom scattering factors, no anomalous dispersion.

Cell and atoms:
Cell lengths 6.4961, 6.4961, 6.4961 Å; angles 128.17, 128.17, 76.35 degrees
Fractional positions:
Co: 0.0000 0.5000 0.5000
Co: 0.5000 0.0000 0.5000
F: 0.0350 0.5350 0.8066
F: 0.2284 0.0350 0.5000
F: 0.2716 0.7716 0.8066
F: 0.4650 0.2716 0.5000
F: 0.5350 0.7284 0.5000
F: 0.7284 0.2284 0.1934
F: 0.7716 0.9650 0.5000
F: 0.9650 0.4650 0.1934

Main lines, in order of rising 2θ (2θ from 10° to 80°):
- 17.36 deg, intensity 54
- 22.14 deg, intensity 100
- 28.28 deg, intensity 56
- 36.20 deg, intensity 25
- 36.46 deg, intensity 27
- 63.32 deg, intensity 23